[1]
Starting from a GGA-PBE-relaxed structure, the X-ray diffraction stick pattern of PmZn2Ni10 was calculated for λ = 1.5418 Å (Cu Kα).
Neutral-atom scattering factors, no anomalous dispersion.

Structure:
Unit cell a=8.328 b=6.369 c=6.340 alpha=81.88 beta=49.21 gamma=48.91
Positions (direct):
Pm1 0.000 0.000 0.000
Zn1 0.000 0.500 0.000
Zn2 0.500 0.000 0.500
Ni1 0.000 0.000 0.500
Ni2 0.005 0.643 0.357
Ni3 0.273 0.503 0.497
Ni4 0.357 0.995 0.005
Ni5 0.497 0.727 0.273
Ni6 0.500 0.500 0.000
Ni7 0.503 0.273 0.727
Ni8 0.643 0.005 0.995
Ni9 0.727 0.497 0.503
Ni10 0.995 0.357 0.643

Peak list (10 most intense, 2θ = 15–90°, most intense first)
2θ (°)	Rel. int.
43.67	100
43.45	88
37.47	35
30.44	27
49.05	26
79.97	23
49.18	13
37.67	13
79.64	9
72.12	8



[2]
Starting from a GGA-PBE-relaxed structure, the X-ray diffraction stick pattern of Pm4ZnNi3 was calculated for λ = 1.5418 Å (Cu Kα).
Neutral-atom scattering factors, no anomalous dispersion.

Structure:
Unit cell a=3.841 b=4.401 c=10.656 alpha=90.00 beta=90.00 gamma=90.00
Positions (direct):
Pm1 0.000 0.000 0.000
Pm2 0.000 0.500 0.264
Pm3 0.500 0.000 0.478
Pm4 0.500 0.500 0.772
Zn1 0.000 0.000 0.696
Ni1 0.000 0.500 0.563
Ni2 0.500 0.000 0.201
Ni3 0.500 0.500 0.064

Peak list (10 most intense, 2θ = 15–90°, most intense first)
2θ (°)	Rel. int.
32.05	100
40.19	49
34.39	45
26.26	37
41.01	29
54.56	24
33.64	23
39.54	20
47.33	20
66.02	15



[3]
Starting from a GGA-PBE-relaxed structure, the X-ray diffraction stick pattern of Pr2Ni7 was calculated for λ = 1.5418 Å (Cu Kα).
Neutral-atom scattering factors, no anomalous dispersion.

Structure:
Unit cell a=12.600 b=12.600 c=12.600 alpha=23.05 beta=23.05 gamma=23.05
Positions (direct):
Pr1 0.051 0.051 0.051
Pr2 0.147 0.147 0.147
Pr3 0.853 0.853 0.853
Pr4 0.949 0.949 0.949
Ni1 0.000 0.500 0.500
Ni2 0.109 0.608 0.608
Ni3 0.279 0.279 0.279
Ni4 0.387 0.387 0.387
Ni5 0.392 0.392 0.891
Ni6 0.392 0.891 0.392
Ni7 0.500 0.000 0.500
Ni8 0.500 0.500 0.000
Ni9 0.500 0.500 0.500
Ni10 0.608 0.109 0.608
Ni11 0.608 0.608 0.109
Ni12 0.613 0.613 0.613
Ni13 0.721 0.721 0.721
Ni14 0.891 0.392 0.392

Peak list (10 most intense, 2θ = 15–90°, most intense first)
2θ (°)	Rel. int.
42.15	100
35.66	47
31.83	40
41.48	36
33.78	33
68.51	22
75.52	22
44.33	15
46.07	13
61.66	12



[4]
Starting from a GGA-PBE-relaxed structure, the X-ray diffraction stick pattern of Pr4Ni was calculated for λ = 1.5418 Å (Cu Kα).
Neutral-atom scattering factors, no anomalous dispersion.

Structure:
Unit cell a=6.518 b=6.518 c=7.280 alpha=90.00 beta=90.00 gamma=90.00
Positions (direct):
Pr1 0.173 0.270 0.353
Pr2 0.230 0.327 0.853
Pr3 0.270 0.827 0.647
Pr4 0.327 0.770 0.147
Pr5 0.673 0.230 0.147
Pr6 0.730 0.173 0.647
Pr7 0.770 0.673 0.853
Pr8 0.827 0.730 0.353
Ni1 0.000 0.000 0.000
Ni2 0.500 0.500 0.500

Peak list (10 most intense, 2θ = 15–90°, most intense first)
2θ (°)	Rel. int.
31.31	100
27.36	41
30.67	39
33.10	26
58.03	19
48.82	18
39.62	18
56.87	17
39.09	16
28.08	15



[5]
Starting from a GGA-PBE-relaxed structure, the X-ray diffraction stick pattern of Pr3NiPt was calculated for λ = 1.5418 Å (Cu Kα).
Neutral-atom scattering factors, no anomalous dispersion.

Structure:
Unit cell a=7.539 b=7.060 c=11.379 alpha=90.00 beta=119.66 gamma=90.00
Positions (direct):
Pr1 0.095 0.184 0.233
Pr2 0.095 0.316 0.733
Pr3 0.300 0.510 0.066
Pr4 0.300 0.990 0.566
Pr5 0.355 0.512 0.571
Pr6 0.355 0.988 0.071
Pr7 0.645 0.012 0.929
Pr8 0.645 0.488 0.429
Pr9 0.700 0.010 0.434
Pr10 0.700 0.490 0.934
Pr11 0.905 0.684 0.267
Pr12 0.905 0.816 0.767
Ni1 0.002 0.700 0.555
Ni2 0.002 0.800 0.055
Ni3 0.998 0.200 0.945
Ni4 0.998 0.300 0.445
Pt1 0.317 0.710 0.815
Pt2 0.317 0.790 0.315
Pt3 0.683 0.210 0.685
Pt4 0.683 0.290 0.185

Peak list (10 most intense, 2θ = 15–90°, most intense first)
2θ (°)	Rel. int.
35.13	100
31.74	85
30.11	82
31.13	77
41.37	68
37.63	54
38.60	42
56.73	38
40.21	30
28.73	29



[6]
Starting from a GGA-PBE-relaxed structure, the X-ray diffraction stick pattern of Pr2Ni15Pt2 was calculated for λ = 1.5418 Å (Cu Kα).
Neutral-atom scattering factors, no anomalous dispersion.

Structure:
Unit cell a=6.400 b=6.400 c=6.400 alpha=83.06 beta=83.06 gamma=83.06
Positions (direct):
Pr1 0.155 0.155 0.155
Pr2 0.845 0.845 0.845
Ni1 0.000 0.500 0.500
Ni2 0.154 0.154 0.657
Ni3 0.154 0.657 0.154
Ni4 0.208 0.500 0.792
Ni5 0.208 0.792 0.500
Ni6 0.343 0.846 0.846
Ni7 0.500 0.000 0.500
Ni8 0.500 0.208 0.792
Ni9 0.500 0.500 0.000
Ni10 0.500 0.792 0.208
Ni11 0.657 0.154 0.154
Ni12 0.792 0.208 0.500
Ni13 0.792 0.500 0.208
Ni14 0.846 0.343 0.846
Ni15 0.846 0.846 0.343
Pt1 0.393 0.393 0.393
Pt2 0.607 0.607 0.607

Peak list (10 most intense, 2θ = 15–90°, most intense first)
2θ (°)	Rel. int.
42.61	100
36.68	79
38.06	62
42.96	62
43.84	53
48.25	45
20.93	42
31.42	40
44.17	31
80.16	29



[7]
Starting from a GGA-PBE-relaxed structure, the X-ray diffraction stick pattern of Pr12Ni6Pt was calculated for λ = 1.5418 Å (Cu Kα).
Neutral-atom scattering factors, no anomalous dispersion.

Structure:
Unit cell a=8.647 b=8.647 c=8.647 alpha=109.47 beta=109.47 gamma=109.47
Positions (direct):
Pr1 0.116 0.816 0.300
Pr2 0.184 0.300 0.484
Pr3 0.184 0.700 0.884
Pr4 0.300 0.116 0.816
Pr5 0.300 0.484 0.184
Pr6 0.484 0.184 0.300
Pr7 0.516 0.816 0.700
Pr8 0.700 0.516 0.816
Pr9 0.700 0.884 0.184
Pr10 0.816 0.300 0.116
Pr11 0.816 0.700 0.516
Pr12 0.884 0.184 0.700
Ni1 0.124 0.624 0.500
Ni2 0.376 0.500 0.876
Ni3 0.500 0.124 0.624
Ni4 0.500 0.876 0.376
Ni5 0.624 0.500 0.124
Ni6 0.876 0.376 0.500
Pt1 0.000 0.000 0.000

Peak list (10 most intense, 2θ = 15–90°, most intense first)
2θ (°)	Rel. int.
33.58	100
31.03	39
28.26	36
56.84	33
53.51	30
46.37	20
66.18	18
35.98	16
81.86	15
83.24	14



[8]
Starting from a GGA-PBE-relaxed structure, the X-ray diffraction stick pattern of PrNi2Pt6 was calculated for λ = 1.5418 Å (Cu Kα).
Neutral-atom scattering factors, no anomalous dispersion.

Structure:
Unit cell a=7.971 b=7.971 c=7.971 alpha=60.00 beta=60.00 gamma=60.00
Positions (direct):
Pr1 0.125 0.125 0.125
Pr2 0.875 0.875 0.875
Ni1 0.000 0.500 0.500
Ni2 0.500 0.000 0.500
Ni3 0.500 0.500 0.000
Ni4 0.500 0.500 0.500
Pt1 0.128 0.128 0.622
Pt2 0.128 0.622 0.128
Pt3 0.128 0.622 0.622
Pt4 0.378 0.378 0.872
Pt5 0.378 0.872 0.378
Pt6 0.378 0.872 0.872
Pt7 0.622 0.128 0.128
Pt8 0.622 0.128 0.622
Pt9 0.622 0.622 0.128
Pt10 0.872 0.378 0.378
Pt11 0.872 0.378 0.872
Pt12 0.872 0.872 0.378

Peak list (10 most intense, 2θ = 15–90°, most intense first)
2θ (°)	Rel. int.
45.52	100
31.75	89
84.14	34
75.42	31
56.56	24
22.31	18
66.33	16
26.22	13
39.15	9
61.56	5